Diffraction record for CeF4. The powder diffraction line list is computed, not measured: it uses the GGA-PBE geometry in Alexandria and Cu Ka.
Peak positions follow from Bragg's law for the DFT cell and can differ from measured ones.

Structure:
a = 6.0237 Å, b = 6.0237 Å, c = 5.6207 Å
α = 105.15°, β = 105.15°, γ = 119.26°
Sites, in units of the cell vectors:
Ce (0.1252, 0.8748, 0.7500)
Ce (0.8748, 0.1252, 0.2500)
F (0.0438, 0.5777, 0.3267)
F (0.1946, 0.2510, 0.0590)
F (0.2510, 0.1946, 0.5590)
F (0.4223, 0.9562, 0.1733)
F (0.5777, 0.0438, 0.8267)
F (0.7490, 0.8054, 0.4410)
F (0.8054, 0.7490, 0.9410)
F (0.9562, 0.4223, 0.6733)

Peak list (10 most intense, 2θ from 10° to 90°, in order of falling intensity)
2θ/deg, d (Å), I/Imax
19.0, 4.661, 100.0
25.2, 3.531, 82.6
19.5, 4.563, 76.9
34.1, 2.627, 38.5
40.8, 2.212, 25.8
49.5, 1.841, 24.9
31.0, 2.886, 24.8
41.4, 2.180, 19.2
50.2, 1.816, 16.9
31.3, 2.862, 15.0